# BaNb2Fe2O9
Theoretical powder diffraction line list, Cu Kα X-rays. Input: a crystal structure in Alexandria, relaxed with GGA+U.
Intensities are scaled so that the largest is 1000.

The 8 most intense peaks (2θ from 10° to 90°), by angle:
- 13.4°, d 6.611, I = 309
- 20.1°, d 4.407, I = 241
- 24.6°, d 3.625, I = 699
- 28.1°, d 3.179, I = 432
- 31.8°, d 2.812, I = 650
- 32.7°, d 2.739, I = 1000
- 45.6°, d 1.989, I = 508
- 57.2°, d 1.610, I = 278

Cell and atoms:
Cell: 5.6236 26.4434 5.6255 Å, 90.00 90.00 90.00°
Space group Fmm2 (No. 42)
Asymmetric unit:
1 Ba 0.0000 0.0000 0.0000 [4 per cell]
2 Nb 0.0000 0.0839 0.5093 [8 per cell]
3 Fe 0.0000 0.2251 0.4917 [8 per cell]
4 O 0.0000 0.0000 0.4952 [4 per cell]
5 O 0.0000 0.1566 0.4936 [8 per cell]
6 O 0.2477 0.0763 0.2401 [16 per cell]
7 O 0.2500 0.2500 0.2416 [8 per cell]